Record 1
This entry pairs a crystal structure of HgPbAu10 with its calculated X-ray powder pattern. Radiation: Cu Kα (λ = 1.5418 Å). Structure: a DFT-relaxed cell (GGA-PBE, Alexandria).

Largest 12 diffraction maxima, sorted by position, 10 to 90 degrees two-theta:
(0 1 3), 31.94°, 2.802 Å, rel. 19
(0 2 2), 36.71°, 2.448 Å, rel. 29
(1 2 0), 37.02°, 2.428 Å, rel. 52
(1 1 3), 37.40°, 2.404 Å, rel. 100
(2 0 0), 38.45°, 2.341 Å, rel. 52
(1 2 2), 41.62°, 2.170 Å, rel. 42
(1 0 4), 42.09°, 2.147 Å, rel. 19
(2 2 2), 54.20°, 1.692 Å, rel. 19
(1 3 3), 60.02°, 1.541 Å, rel. 25
(0 2 6), 66.78°, 1.401 Å, rel. 20
(3 1 3), 68.85°, 1.364 Å, rel. 18
(2 2 6), 79.77°, 1.202 Å, rel. 25

Structural model:
```
data_HgPbAu10
_chemical_formula_sum 'Hg1 Pb1 Au10'
_space_group_name_H-M_alt 'P m m m'
_space_group_IT_number 47
_cell_length_a 4.683
_cell_length_b 5.680
_cell_length_c 9.663
_cell_angle_alpha 90.00
_cell_angle_beta 90.00
_cell_angle_gamma 90.00
loop_
_space_group_symop_operation_xyz
'x,y,z'
'-x,-y,-z'
'-x,-y,z'
'x,y,-z'
'x,-y,-z'
'-x,y,z'
'-x,y,-z'
'x,-y,z'
loop_
_atom_site_label
_atom_site_type_symbol
_atom_site_fract_x
_atom_site_fract_y
_atom_site_fract_z
_atom_site_occupancy
Hg1 Hg 0.000 0.000 0.000 1
Pb1 Pb 0.000 0.500 0.500 1
Au1 Au 0.000 0.000 0.325 1
Au2 Au 0.000 0.500 0.161 1
Au3 Au 0.500 0.000 0.500 1
Au4 Au 0.500 0.255 0.255 1
Au5 Au 0.500 0.500 0.000 1
```

***

Record 2
This entry pairs a crystal structure of POs3 with its calculated X-ray powder pattern. Radiation: Cu Kα (λ = 1.5418 Å). Structure: a DFT-relaxed cell (GGA-PBE, Alexandria).

Largest 12 diffraction maxima, sorted by position, 10 to 90 degrees two-theta:
(0 0 3), 10.86°, 8.150 Å, rel. 21
(0 0 9), 32.97°, 2.717 Å, rel. 16
(1 0 4), 40.10°, 2.249 Å, rel. 100
(0 1 5), 41.66°, 2.168 Å, rel. 16
(0 0 12), 44.46°, 2.038 Å, rel. 21
(0 1 8), 47.97°, 1.896 Å, rel. 56
(1 0 13), 62.56°, 1.485 Å, rel. 11
(1 1 0), 67.03°, 1.396 Å, rel. 23
(1 0 16), 73.27°, 1.292 Å, rel. 12
(0 2 4), 81.07°, 1.186 Å, rel. 13
(1 1 12), 84.03°, 1.152 Å, rel. 21
(2 0 8), 86.57°, 1.124 Å, rel. 11

Structural model:
```
data_POs3
_chemical_formula_sum 'P3 Os9'
_space_group_name_H-M_alt 'R -3 m'
_space_group_IT_number 166
_space_group_name_Hall '-R 3 2"'
_cell_length_a 2.7924
_cell_length_b 2.7924
_cell_length_c 24.4511
_cell_angle_alpha 90.00
_cell_angle_beta 90.00
_cell_angle_gamma 120.00
loop_
_atom_site_label
_atom_site_type_symbol
_atom_site_fract_x
_atom_site_fract_y
_atom_site_fract_z
_atom_site_occupancy
P1 P 0.0000 0.0000 0.0000 1
Os1 Os 0.0000 0.0000 0.2574 1
Os2 Os 0.0000 0.0000 0.5000 1
```